1.
K5Rb2Tl: theoretical X-ray diffraction stick pattern (Cu Kα, 1.54184 Å), based on a structure optimized by DFT (GGA-PBE).
Neutral-atom scattering factors, no anomalous dispersion.

```
K5Rb2Tl
1.0
-4.2595 4.2595 8.5784
4.2595 -4.2595 8.5784
4.2595 4.2595 -8.5784
K Rb Tl
5 2 1
direct
0.0000 0.0000 0.0000 K
0.0782 0.0782 0.5123 K
0.0782 0.5659 0.0000 K
0.5659 0.0782 0.0000 K
0.5659 0.5659 0.4877 K
0.1047 0.6047 0.5000 Rb
0.6047 0.1047 0.5000 Rb
0.1983 0.1983 0.0000 Tl
```

Main lines, by angle (10 to 80 degrees two-theta):
- 10.31 deg, intensity 36
- 11.60 deg, intensity 100
- 23.32 deg, intensity 77
- 23.93 deg, intensity 36
- 25.49 deg, intensity 48
- 29.66 deg, intensity 40
- 34.73 deg, intensity 23
- 39.50 deg, intensity 30

2.
K3Rb7Tl: theoretical X-ray diffraction stick pattern (Cu Kα, 1.54184 Å), based on a structure optimized by DFT (GGA-PBE).
Neutral-atom scattering factors, no anomalous dispersion.

```
K3Rb7Tl
1.0
7.6986 -5.9581 0.0000
7.6986 5.9581 0.0000
-4.7922 0.0000 9.8452
K Rb Tl
3 7 1
direct
0.0000 0.0000 0.0000 K
0.2810 0.6596 0.7542 K
0.6596 0.2810 0.7542 K
0.1046 0.4762 0.9833 Rb
0.2184 0.8251 0.4034 Rb
0.2766 0.2766 0.3793 Rb
0.4762 0.1046 0.9833 Rb
0.6713 0.6713 0.1693 Rb
0.7115 0.7115 0.6249 Rb
0.8251 0.2184 0.4034 Rb
0.4741 0.4741 0.2814 Tl
```

Main lines, by angle (10 to 80 degrees two-theta):
- 11.25 deg, intensity 54
- 11.99 deg, intensity 58
- 21.16 deg, intensity 65
- 22.91 deg, intensity 88
- 23.93 deg, intensity 100
- 24.11 deg, intensity 65
- 26.03 deg, intensity 75
- 37.30 deg, intensity 44

3.
K4Rb2Zn: theoretical X-ray diffraction stick pattern (Cu Kα, 1.54184 Å), based on a structure optimized by DFT (GGA-PBE).
Neutral-atom scattering factors, no anomalous dispersion.

```
K4Rb2Zn
1.0
-7.8972 7.8972 3.7170
7.8972 -7.8972 3.7170
7.8972 7.8972 -3.7170
K Rb Zn
8 4 2
direct
0.0898 0.8174 0.9072 K
0.1826 0.0898 0.2724 K
0.3174 0.5898 0.9072 K
0.4102 0.3174 0.7276 K
0.5898 0.6826 0.2724 K
0.6826 0.4102 0.0928 K
0.8174 0.9102 0.7276 K
0.9102 0.1826 0.0928 K
0.1110 0.3890 0.5000 Rb
0.3890 0.8890 0.2780 Rb
0.6110 0.1110 0.7220 Rb
0.8890 0.6110 0.5000 Rb
0.2500 0.2500 0.0000 Zn
0.7500 0.7500 0.0000 Zn
```

Main lines, by angle (10 to 80 degrees two-theta):
- 17.32 deg, intensity 21
- 23.57 deg, intensity 100
- 23.94 deg, intensity 17
- 28.83 deg, intensity 35
- 33.10 deg, intensity 35
- 41.89 deg, intensity 20
- 43.45 deg, intensity 29
- 47.49 deg, intensity 22

4.
KRe7: theoretical X-ray diffraction stick pattern (Cu Kα, 1.54184 Å), based on a structure optimized by DFT (GGA-PBE).
Neutral-atom scattering factors, no anomalous dispersion.

```
KRe7
1.0
0.0000 3.9999 3.9999
3.9999 0.0000 3.9999
3.9999 3.9999 0.0000
K Re
1 7
direct
0.0000 0.0000 0.0000 K
0.0000 0.0000 0.5000 Re
0.0000 0.5000 0.0000 Re
0.0000 0.5000 0.5000 Re
0.5000 0.0000 0.0000 Re
0.5000 0.0000 0.5000 Re
0.5000 0.5000 0.0000 Re
0.5000 0.5000 0.5000 Re
```

Main lines, by angle (10 to 80 degrees two-theta):
- 19.22 deg, intensity 7
- 22.23 deg, intensity 4
- 31.63 deg, intensity 3
- 37.28 deg, intensity 4
- 39.00 deg, intensity 100
- 45.35 deg, intensity 49
- 66.07 deg, intensity 32
- 79.47 deg, intensity 39

Q: What is the formula in the third record?
A: K4Rb2Zn